1.
Theoretical X-ray powder pattern of PuVCoRu for CuKα, from a DFT-relaxed cell (GGA-PBE, Alexandria).
No peak broadening, texture or thermal motion is included.

Largest 8 diffraction maxima, in order of falling intensity, 2θ = 10–80°:
h k l, two_theta, d [Å], Rel. int.
2 2 0, 40.51, 2.227, 100
1 1 1, 24.48, 3.637, 42
4 2 2, 73.68, 1.286, 34
3 1 1, 47.90, 1.899, 23
4 0 0, 58.62, 1.575, 17
3 3 1, 64.48, 1.445, 10
2 0 0, 28.34, 3.149, 9
5 1 1, 78.98, 1.212, 8

```
data_PuVCoRu
_cell_length_a 6.299
_cell_length_b 6.299
_cell_length_c 6.299
_cell_angle_alpha 90.00
_cell_angle_beta 90.00
_cell_angle_gamma 90.00
_symmetry_space_group_name_H-M 'F -4 3 m'
_symmetry_Int_Tables_number 216
_symmetry_space_group_name_Hall 'F -4 2 3'
loop_
_atom_site_label
_atom_site_fract_x
_atom_site_fract_y
_atom_site_fract_z
_atom_site_occupancy
Pu1 0.000 0.000 0.000 1
V1 0.000 0.000 0.500 1
Co1 0.250 0.250 0.750 1
Ru1 0.250 0.250 0.250 1
```

2.
Theoretical X-ray powder pattern of TiInAu for CuKα, from a DFT-relaxed cell (GGA-PBE, Alexandria).
No peak broadening, texture or thermal motion is included.

Largest 8 diffraction maxima, in order of falling intensity, 2θ = 10–80°:
h k l, two_theta, d [Å], Rel. int.
3 1 0, 35.80, 2.508, 100
1 1 -2, 42.29, 2.137, 60
4 0 -2, 38.85, 2.318, 40
2 0 2, 36.17, 2.483, 36
0 0 2, 30.90, 2.894, 28
4 0 0, 28.43, 3.139, 24
1 1 0, 29.38, 3.040, 23
6 0 0, 43.23, 2.093, 22

```
data_TiInAu
_cell_length_a 12.715
_cell_length_b 3.133
_cell_length_c 5.862
_cell_angle_alpha 90.00
_cell_angle_beta 99.09
_cell_angle_gamma 90.00
_symmetry_space_group_name_H-M 'C 1 2/m 1'
_symmetry_Int_Tables_number 12
_symmetry_space_group_name_Hall '-C 2y'
loop_
_atom_site_label
_atom_site_fract_x
_atom_site_fract_y
_atom_site_fract_z
_atom_site_occupancy
Ti1 0.000 0.000 0.000 1
Ti2 0.000 0.000 0.500 1
In1 0.169 0.500 0.298 1
Au1 0.146 0.500 0.795 1
```

Please write out number 2 again, unchanged.
Theoretical X-ray powder pattern of TiInAu for CuKα, from a DFT-relaxed cell (GGA-PBE, Alexandria).
No peak broadening, texture or thermal motion is included.

Largest 8 diffraction maxima, in order of falling intensity, 2θ = 10–80°:
h k l, two_theta, d [Å], Rel. int.
3 1 0, 35.80, 2.508, 100
1 1 -2, 42.29, 2.137, 60
4 0 -2, 38.85, 2.318, 40
2 0 2, 36.17, 2.483, 36
0 0 2, 30.90, 2.894, 28
4 0 0, 28.43, 3.139, 24
1 1 0, 29.38, 3.040, 23
6 0 0, 43.23, 2.093, 22

```
data_TiInAu
_cell_length_a 12.715
_cell_length_b 3.133
_cell_length_c 5.862
_cell_angle_alpha 90.00
_cell_angle_beta 99.09
_cell_angle_gamma 90.00
_symmetry_space_group_name_H-M 'C 1 2/m 1'
_symmetry_Int_Tables_number 12
_symmetry_space_group_name_Hall '-C 2y'
loop_
_atom_site_label
_atom_site_fract_x
_atom_site_fract_y
_atom_site_fract_z
_atom_site_occupancy
Ti1 0.000 0.000 0.000 1
Ti2 0.000 0.000 0.500 1
In1 0.169 0.500 0.298 1
Au1 0.146 0.500 0.795 1
```

Copy entry 2 word for word.
Theoretical X-ray powder pattern of TiInAu for CuKα, from a DFT-relaxed cell (GGA-PBE, Alexandria).
No peak broadening, texture or thermal motion is included.

Largest 8 diffraction maxima, in order of falling intensity, 2θ = 10–80°:
h k l, two_theta, d [Å], Rel. int.
3 1 0, 35.80, 2.508, 100
1 1 -2, 42.29, 2.137, 60
4 0 -2, 38.85, 2.318, 40
2 0 2, 36.17, 2.483, 36
0 0 2, 30.90, 2.894, 28
4 0 0, 28.43, 3.139, 24
1 1 0, 29.38, 3.040, 23
6 0 0, 43.23, 2.093, 22

```
data_TiInAu
_cell_length_a 12.715
_cell_length_b 3.133
_cell_length_c 5.862
_cell_angle_alpha 90.00
_cell_angle_beta 99.09
_cell_angle_gamma 90.00
_symmetry_space_group_name_H-M 'C 1 2/m 1'
_symmetry_Int_Tables_number 12
_symmetry_space_group_name_Hall '-C 2y'
loop_
_atom_site_label
_atom_site_fract_x
_atom_site_fract_y
_atom_site_fract_z
_atom_site_occupancy
Ti1 0.000 0.000 0.000 1
Ti2 0.000 0.000 0.500 1
In1 0.169 0.500 0.298 1
Au1 0.146 0.500 0.795 1
```